Theoretical powder X-ray diffraction pattern
Compound: Nd3CuSiSe7
Radiation: λ = 1.5418 Å (Cu Kα)
Structure: a structure optimized by DFT (GGA-PBE)
Intensities are scaled so that the largest is 100.

Cell and atoms:
Unit cell a=10.6187 b=10.6187 c=6.0864 alpha=90.00 beta=90.00 gamma=120.00
Fractional coordinates of all 24 atoms:
1 Nd 0.1283 0.3554 0.0000
2 Nd 0.2271 0.8717 0.0000
3 Nd 0.3554 0.2271 0.5000
4 Nd 0.6446 0.7729 0.0000
5 Nd 0.7729 0.1283 0.5000
6 Nd 0.8717 0.6446 0.5000
7 Cu 0.0000 0.0000 0.0317
8 Cu 0.0000 0.0000 0.5317
9 Si 0.3333 0.6667 0.4115
10 Si 0.6667 0.3333 0.9115
11 Se 0.0928 0.2565 0.5191
12 Se 0.1053 0.5834 0.2629
13 Se 0.1637 0.9072 0.5191
14 Se 0.2565 0.1637 0.0191
15 Se 0.3333 0.6667 0.7835
16 Se 0.4166 0.5219 0.2629
17 Se 0.4781 0.8947 0.2629
18 Se 0.5219 0.1053 0.7629
19 Se 0.5834 0.4781 0.7629
20 Se 0.6667 0.3333 0.2835
21 Se 0.7435 0.8363 0.5191
22 Se 0.8363 0.0928 0.0191
23 Se 0.8947 0.4166 0.7629
24 Se 0.9072 0.7435 0.0191

Largest 6 diffraction maxima, low angle first, 2θ from 10° to 90°:
d [Å]	2θ/deg	Rel. int.
3.018	29.60	77
2.889	30.95	84
2.738	32.71	68
2.655	33.76	79
2.551	35.19	100
2.290	39.35	72



Theoretical powder X-ray diffraction pattern
Compound: NdTlCu3Se4
Radiation: λ = 1.5418 Å (Cu Kα)
Structure: a structure optimized by DFT (GGA-PBE)
Intensities are scaled so that the largest is 100.

Cell and atoms:
Unit cell a=6.2974 b=6.2974 c=6.2974 alpha=90.00 beta=90.00 gamma=90.00
Fractional coordinates of all 9 atoms:
1 Nd 0.0000 0.0000 0.0000
2 Tl 0.5000 0.5000 0.5000
3 Cu 0.0000 0.0000 0.5000
4 Cu 0.0000 0.5000 0.0000
5 Cu 0.5000 0.0000 0.0000
6 Se 0.2461 0.2461 0.7539
7 Se 0.2461 0.7539 0.2461
8 Se 0.7539 0.2461 0.2461
9 Se 0.7539 0.7539 0.7539

Largest 6 diffraction maxima, low angle first, 2θ from 10° to 90°:
d [Å]	2θ/deg	Rel. int.
4.453	19.94	61
3.636	24.48	58
2.571	34.90	30
2.226	40.52	100
1.899	47.91	27
1.285	73.70	33



Theoretical powder X-ray diffraction pattern
Compound: TbNdCuSi3
Radiation: λ = 1.5418 Å (Cu Kα)
Structure: a structure optimized by DFT (GGA-PBE)
Intensities are scaled so that the largest is 100.

Cell and atoms:
Unit cell a=8.1248 b=8.0666 c=5.7856 alpha=69.60 beta=68.53 gamma=41.87
Fractional coordinates of all 12 atoms:
1 Tb 0.2434 0.7566 0.2434
2 Tb 0.7566 0.2434 0.7566
3 Nd 0.2500 0.2500 0.2500
4 Nd 0.7500 0.7500 0.7500
5 Cu 0.3343 0.3343 0.6657
6 Cu 0.6657 0.6657 0.3343
7 Si 0.1675 0.1675 0.8325
8 Si 0.1719 0.6612 0.8281
9 Si 0.3388 0.8281 0.6612
10 Si 0.6612 0.1719 0.3388
11 Si 0.8281 0.3388 0.1719
12 Si 0.8325 0.8325 0.1675

Largest 6 diffraction maxima, low angle first, 2θ from 10° to 90°:
d [Å]	2θ/deg	Rel. int.
3.493	25.50	35
2.672	33.54	100
2.017	44.95	32
1.610	57.23	21
1.446	64.44	21
1.258	75.59	19